This entry pairs a crystal structure of Ba3GeO5 with its theoretical XRD peak list. Radiation: Cu Kα (λ = 1.5418 Å). Structure: a DFT-relaxed cell (PBE, the Materials Project).

Cell and atoms:
```
data_Ba3GeO5
_cell_length_a 8.0650
_cell_length_b 8.0650
_cell_length_c 28.7939
_cell_angle_alpha 90.00
_cell_angle_beta 90.00
_cell_angle_gamma 120.00
_symmetry_space_group_name_H-M 'R 3 m'
_symmetry_Int_Tables_number 160
_symmetry_space_group_name_Hall 'R 3 -2"'
loop_
_atom_site_label
_atom_site_fract_x
_atom_site_fract_y
_atom_site_fract_z
Ba1 0.0024 0.5012 0.0000
Ba2 0.0204 0.5102 0.2225
Ba3 0.1768 0.3536 0.1109
Ge1 0.0000 0.0000 0.2178
Ge2 0.0000 0.0000 0.7767
Ge3 0.0000 0.0000 0.9981
O1 0.0000 0.0000 0.1554
O2 0.0000 0.0000 0.3847
O3 0.0000 0.0000 0.4994
O4 0.0000 0.0000 0.6115
O5 0.0000 0.0000 0.7148
O6 0.0000 0.0000 0.9356
O7 0.0916 0.5458 0.6858
O8 0.0926 0.5463 0.9058
O9 0.2121 0.4243 0.4634
```

Main lines, in order of falling intensity (2θ from 5° to 70°):
Position (°2θ), d_spacing, Rel. int., (hkl)
28.4, 3.142, 100, 0 2 4
29.9, 2.986, 85, 2 0 5
27.9, 3.199, 57, 0 0 9
45.0, 2.016, 51, 2 2 0
53.7, 1.706, 46, 2 2 9
25.7, 3.467, 45, 0 2 1